Mn7SbAsO12: theoretical PXRD pattern (Cu Kα (λ = 1.5418 Å)), based on the PBE+U geometry in the Materials Project.

Cell and atoms:
abc: 11.0948 11.0948 11.0948
angles: 147.44 58.89 132.36
Atoms (fractional coordinates):
Mn 0.0000 0.0000 0.5000
Mn 0.0000 0.5000 0.0000
Mn 0.1584 0.0000 0.6584
Mn 0.1584 0.5000 0.1584
Mn 0.1896 0.5235 0.6661
Mn 0.2051 0.1308 0.0743
Mn 0.3574 0.5235 0.8339
Mn 0.4435 0.8692 0.5743
Mn 0.5565 0.1308 0.4257
Mn 0.6426 0.4765 0.1661
Mn 0.7949 0.8692 0.9257
Mn 0.8104 0.4765 0.3339
Mn 0.8416 0.0000 0.3416
Mn 0.8416 0.5000 0.8416
Sb 0.0000 0.5000 0.5000
Sb 0.5000 0.5000 0.0000
As 0.3705 0.1205 0.2500
As 0.6295 0.8795 0.7500
O 0.0470 0.7180 0.3290
O 0.0803 0.2812 0.3547
O 0.0803 0.7256 0.7990
O 0.1111 0.2820 0.8290
O 0.2152 0.7243 0.4909
O 0.2613 0.2435 0.4822
O 0.2613 0.7791 0.0178
O 0.2665 0.2757 0.9909
O 0.4057 0.2297 0.1760
O 0.4266 0.2812 0.7010
O 0.4266 0.7256 0.1453
O 0.4463 0.7703 0.6760
O 0.5537 0.2297 0.3240
O 0.5734 0.2744 0.8547
O 0.5734 0.7188 0.2990
O 0.5943 0.7703 0.8240
O 0.7335 0.7243 0.0091
O 0.7387 0.2209 0.9822
O 0.7387 0.7565 0.5178
O 0.7848 0.2757 0.5091
O 0.8889 0.7180 0.1710
O 0.9197 0.2744 0.2010
O 0.9197 0.7188 0.6453
O 0.9530 0.2820 0.6710

Main lines, in order of falling intensity (5 to 70 degrees two-theta):
two_theta	intensity
32.87	100
58.29	70
40.30	48
33.27	44
30.78	44
30.27	34